Starting from a crystal structure in Alexandria, relaxed with PBE, the XRD peak list of Nb4FeC2 was calculated for Cu Ka.

Principal peaks in the range 2θ from 5° to 70°, by intensity:
Position (°2θ)  I/Imax
36.13  100
38.84  96
38.03  89
41.35  34
33.43  31
37.36  25
57.96  22
57.58  20
33.65  16
34.61  15

Crystal structure
Lattice parameters (Å, degrees): 5.559 5.559 11.246 90.00 90.00 146.74
Sites, in units of the cell vectors:
Nb 0.000 0.000 0.000
Nb 0.000 0.000 0.500
Nb 0.270 0.730 0.610
Nb 0.270 0.730 0.890
Nb 0.431 0.569 0.250
Nb 0.569 0.431 0.750
Nb 0.730 0.270 0.110
Nb 0.730 0.270 0.390
Fe 0.107 0.893 0.250
Fe 0.893 0.107 0.750
C 0.364 0.636 0.063
C 0.364 0.636 0.437
C 0.636 0.364 0.563
C 0.636 0.364 0.937